Structure and calculated X-ray powder pattern of Tb5TmSc (the PBE geometry in Alexandria; λ = 1.5418 Å (Cu Kα)).
Neutral-atom scattering factors, no anomalous dispersion.

The 12 most intense peaks (2θ from 15° to 90°), in order of falling intensity:
d (Å)  I_rel
2.864  100
1.753  30
1.497  28
2.484  17
2.482  17
2.474  17
1.493  14
1.138  10
1.431  6
1.433  6
1.757  6
1.111  6

Structural model:
```
Tb5TmSc
1.0
4.9678 0.0000 0.0000
-2.4780 5.5353 0.0000
-0.0066 -1.1247 7.7679
Tb Tm Sc
5 1 1
Cartesian
0.0000 0.0000 0.0000
0.0002 1.0655 3.3554
-0.0013 2.1793 6.6486
0.0032 4.3992 2.2585
2.4854 3.2923 4.4696
2.4868 2.2001 1.0912
2.4809 -0.0338 5.5698
```

---

Structure and calculated X-ray powder pattern of Hg3OsF6 (the PBE geometry in Alexandria; λ = 1.5418 Å (Cu Kα)).
Neutral-atom scattering factors, no anomalous dispersion.

The 12 most intense peaks (2θ from 15° to 90°), in order of falling intensity:
d (Å)  I_rel
2.169  100
2.638  71
3.810  63
2.493  47
1.544  36
3.918  29
1.414  23
4.569  23
1.523  20
1.246  17
1.319  15
1.830  13

Structural model:
```
Hg3OsF6
1.0
5.2755 0.0000 0.0000
-2.6378 4.5688 0.0000
0.0000 0.0000 7.6196
Hg Os F
3 1 6
Cartesian
0.0000 0.0000 0.0000
0.0000 3.0458 0.0000
2.6378 1.5229 0.0000
0.0000 0.0000 3.8098
-0.7683 1.3308 2.6612
-1.8694 3.2379 4.9584
1.5367 0.0000 2.6612
0.7683 1.3308 4.9584
3.7389 0.0000 4.9584
1.8694 3.2379 2.6612
```

---

Structure and calculated X-ray powder pattern of Li17Ag3P6 (the PBE geometry in Alexandria; λ = 1.5418 Å (Cu Kα)).
Neutral-atom scattering factors, no anomalous dispersion.

The 12 most intense peaks (2θ from 15° to 90°), in order of falling intensity:
d (Å)  I_rel
4.944  100
2.119  61
3.344  59
2.141  58
3.708  42
3.873  39
2.966  36
3.316  33
2.316  31
1.873  27
1.506  22
1.232  19

Structural model:
```
Li17Ag3P6
1.0
7.4154 0.0000 0.0000
-3.7077 6.4219 0.0000
0.0000 0.0000 7.7454
Li Ag P
17 3 6
Cartesian
0.0000 0.0000 1.1708
-1.1373 1.9698 2.5988
-1.2496 2.1643 0.0000
-2.3898 4.1392 3.5041
-2.6302 4.5556 6.1308
1.0775 1.8664 6.1308
2.2745 0.0000 2.5988
0.0000 4.2813 4.4202
0.0000 4.2813 6.7654
2.4992 0.0000 0.0000
1.3179 2.2827 3.5041
4.7796 0.0000 3.5041
2.4581 4.2576 0.0000
3.7077 2.1406 4.4202
3.7077 2.1406 6.7654
2.5704 4.4521 2.5988
5.2603 0.0000 6.1308
0.0000 0.0000 4.4296
0.0000 4.2813 1.6724
3.7077 2.1406 1.6724
-1.3076 2.2649 5.1497
-2.4861 4.3061 0.9376
1.2216 2.1158 0.9376
2.6153 0.0000 5.1497
2.4001 4.1571 5.1497
4.9723 0.0000 0.9376
```

---

Structure and calculated X-ray powder pattern of Ca2PmPb5 (the PBE geometry in Alexandria; λ = 1.5418 Å (Cu Kα)).
Neutral-atom scattering factors, no anomalous dispersion.

The 12 most intense peaks (2θ from 15° to 90°), in order of falling intensity:
d (Å)  I_rel
2.743  100
2.845  55
1.622  42
2.012  21
1.565  19
5.690  13
1.371  12
4.023  12
1.272  10
1.263  9
1.874  8
1.193  8

Structural model:
```
Ca2PmPb5
1.0
8.0466 0.0000 0.0000
0.0000 8.0466 0.0000
0.0000 0.0000 7.4972
Ca Pm Pb
4 2 10
Cartesian
0.0000 4.0233 0.0000
0.0000 4.0233 3.7486
4.0233 0.0000 0.0000
4.0233 0.0000 3.7486
0.0000 0.0000 3.7427
4.0233 4.0233 7.4913
0.0000 0.0000 0.0012
2.0138 2.0138 1.8732
2.0095 2.0095 5.6218
2.0138 6.0328 1.8732
2.0095 6.0371 5.6218
4.0233 4.0233 3.7498
6.0328 2.0138 1.8732
6.0371 2.0095 5.6218
6.0328 6.0328 1.8732
6.0371 6.0371 5.6218
```

---

Structure and calculated X-ray powder pattern of Sm2BiC2 (the PBE geometry in Alexandria; λ = 1.5418 Å (Cu Kα)).
Neutral-atom scattering factors, no anomalous dispersion.

The 12 most intense peaks (2θ from 15° to 90°), in order of falling intensity:
d (Å)  I_rel
3.000  100
3.200  20
2.494  14
2.943  14
2.318  13
1.520  11
2.341  10
1.806  10
1.922  10
1.877  9
1.439  9
1.698  9

Structural model:
```
Sm2BiC2
1.0
7.4831 -2.3183 0.0000
7.4831 2.3183 0.0000
-0.0069 0.0000 6.3999
Sm Bi C
4 2 4
Cartesian
5.1683 1.2679 4.3870
9.7875 1.2679 5.2128
5.1718 -1.2679 1.1871
9.7909 -1.2679 2.0129
7.4813 1.0322 1.6000
7.4779 -1.0322 4.7999
3.9418 0.5439 0.1468
3.9384 -0.5439 3.3468
11.0209 0.5439 3.0531
11.0174 -0.5439 6.2531
```

---

Structure and calculated X-ray powder pattern of Al2SiTc (the PBE geometry in Alexandria; λ = 1.5418 Å (Cu Kα)).
Neutral-atom scattering factors, no anomalous dispersion.

The 12 most intense peaks (2θ from 15° to 90°), in order of falling intensity:
d (Å)  I_rel
4.226  100
2.172  87
2.183  86
3.263  84
3.335  83
2.148  81
2.233  77
2.248  52
2.113  42
2.603  41
3.167  41
1.872  35

Structural model:
```
Al2SiTc
1.0
5.1505 0.0000 0.0000
0.0000 4.3437 0.0000
-1.5249 0.0000 5.2056
Al Si Tc
4 2 2
Cartesian
0.0261 1.0859 0.8906
1.1370 3.2578 2.1067
2.4885 1.0859 3.0988
3.5994 3.2578 4.3150
0.9973 3.2578 4.5587
2.6282 1.0859 0.6469
-0.1151 1.0859 3.7305
3.7406 3.2578 1.4751
```

---

Structure and calculated X-ray powder pattern of Pm5NdSm3 (the PBE geometry in Alexandria; λ = 1.5418 Å (Cu Kα)).
Neutral-atom scattering factors, no anomalous dispersion.

The 12 most intense peaks (2θ from 15° to 90°), in order of falling intensity:
d (Å)  I_rel
2.919  100
2.903  34
2.947  26
2.769  14
1.681  11
2.843  11
2.563  10
2.371  9
2.742  9
2.575  8
1.684  8
3.907  7

Structural model:
```
Pm5NdSm3
1.0
8.3084 -3.4238 0.0000
8.3084 3.4238 0.0000
-3.9734 0.0000 10.9841
Pm Nd Sm
10 2 6
Cartesian
1.6183 0.0014 0.5319
-0.3684 -0.0014 6.0240
5.3284 2.1827 8.2381
2.8699 0.7140 7.0542
4.8566 -0.7140 1.5621
7.7869 0.7140 9.4220
9.7736 -0.7140 3.9299
7.3151 -2.1827 2.7460
13.0119 0.0014 4.9601
11.0252 -0.0014 10.4522
7.3151 1.6051 2.7460
5.3284 -1.6051 8.2381
0.5481 0.7445 9.5115
2.5348 -0.7445 4.0194
8.3084 0.0000 0.0000
6.3217 0.0000 5.4921
10.1086 0.7445 6.9647
12.0953 -0.7445 1.4726
```

---

Structure and calculated X-ray powder pattern of SnHOs2 (the PBE geometry in Alexandria; λ = 1.5418 Å (Cu Kα)).
Neutral-atom scattering factors, no anomalous dispersion.

The 12 most intense peaks (2θ from 15° to 90°), in order of falling intensity:
d (Å)  I_rel
2.335  100
2.214  99
2.301  96
4.671  76
2.173  74
4.604  72
1.978  65
2.030  56
2.179  53
2.274  53
2.348  41
2.664  37

Structural model:
```
SnHOs2
1.0
4.7212 0.0000 0.0000
1.0640 5.3286 0.0000
0.0037 2.6159 4.7660
Sn H Os
2 2 4
Cartesian
0.0000 0.0000 0.0000
2.3328 5.1996 3.0811
4.4834 6.5582 2.4441
4.4873 4.3172 2.1594
2.3475 1.5600 0.7601
2.3634 2.4388 3.3155
3.4817 4.0069 0.9061
4.9041 2.0997 1.8146
```

---

Structure and calculated X-ray powder pattern of SrTa2RuPb (the PBE geometry in Alexandria; λ = 1.5418 Å (Cu Kα)).
Neutral-atom scattering factors, no anomalous dispersion.

The 12 most intense peaks (2θ from 15° to 90°), in order of falling intensity:
d (Å)  I_rel
2.868  100
2.533  61
1.740  40
1.519  30
2.394  26
1.791  22
1.434  21
3.480  17
1.458  13
1.131  12
1.133  10
1.120  10

Structural model:
```
SrTa2RuPb
1.0
5.0662 0.0000 0.0000
0.0000 5.0662 0.0000
0.0000 0.0000 4.7873
Sr Ta Ru Pb
1 2 1 1
Cartesian
0.0000 0.0000 0.0000
0.0000 2.5331 0.0000
2.5331 0.0000 0.0000
0.0000 0.0000 2.3937
2.5331 2.5331 2.3937
```

---

Structure and calculated X-ray powder pattern of UGePd (the PBE geometry in Alexandria; λ = 1.5418 Å (Cu Kα)).
Neutral-atom scattering factors, no anomalous dispersion.

The 12 most intense peaks (2θ from 15° to 90°), in order of falling intensity:
d (Å)  I_rel
2.466  100
2.299  67
1.357  32
1.682  32
3.983  31
1.297  22
1.328  12
1.150  8
1.570  7
1.991  5
1.505  4
1.461  4

Structural model:
```
UGePd
1.0
4.5989 0.0000 0.0000
-2.2995 3.9828 0.0000
0.0000 0.0000 3.1403
U Ge Pd
1 1 1
Cartesian
0.0000 0.0000 0.0000
2.2995 1.3276 1.5701
0.0000 2.6552 1.5701
```

---

Structure and calculated X-ray powder pattern of Ac6As2Se3S (the PBE geometry in Alexandria; λ = 1.5418 Å (Cu Kα)).
Neutral-atom scattering factors, no anomalous dispersion.

The 12 most intense peaks (2θ from 15° to 90°), in order of falling intensity:
d (Å)  I_rel
3.162  100
2.231  39
2.240  38
3.646  36
1.823  21
1.412  18
1.416  18
1.905  17
1.289  13
1.581  13
3.665  12
1.833  7

Structural model:
```
Ac6As2Se3S
1.0
9.7572 -2.2326 0.0000
9.7572 2.2326 0.0000
-2.1090 0.0000 8.7068
Ac As Se S
6 2 3 1
Cartesian
-0.4835 0.0000 2.0939
5.5710 0.0000 3.6697
4.6534 0.0000 7.9553
12.7522 0.0000 0.7516
11.8345 0.0000 5.0372
17.8891 0.0000 6.6129
2.5274 0.0000 2.8862
14.8781 0.0000 5.8206
1.5209 0.0000 7.2617
8.7028 0.0000 4.3534
15.8846 0.0000 1.4452
9.7572 0.0000 0.0000
```

---

Structure and calculated X-ray powder pattern of YSi4Rh6 (the PBE geometry in Alexandria; λ = 1.5418 Å (Cu Kα)).
Neutral-atom scattering factors, no anomalous dispersion.

The 12 most intense peaks (2θ from 15° to 90°), in order of falling intensity:
d (Å)  I_rel
2.371  100
1.966  29
2.301  22
3.211  19
1.890  19
2.030  19
1.758  18
3.045  16
1.310  15
1.287  12
1.159  11
1.383  10

Structural model:
```
YSi4Rh6
1.0
7.0311 0.0000 0.0000
-3.5156 6.0892 0.0000
0.0000 0.0000 3.7798
Y Si Rh
1 4 6
Cartesian
0.0000 0.0000 0.0000
0.0000 4.0594 0.0000
2.1078 1.2169 1.8899
4.9234 1.2169 1.8899
3.5156 3.6553 1.8899
0.0000 2.4113 1.8899
-1.4273 4.8835 1.8899
3.5156 0.4023 0.0000
2.1062 2.8434 0.0000
1.4273 4.8835 1.8899
4.9249 2.8434 0.0000
```